Calculated powder XRD pattern
Compound: Li3FeP2O9
Radiation: Cu Ka
Structure: a DFT-relaxed cell (PBE+U, Alexandria)
Neutral-atom scattering factors, no anomalous dispersion.

Principal peaks in the range 10° ≤ 2θ ≤ 80°, in order of falling intensity:
2θ (°), d [Å], I/Imax
12.43, 7.121, 100
28.16, 3.169, 43
27.90, 3.197, 33
28.75, 3.105, 32
18.51, 4.792, 25
29.26, 3.052, 24
17.52, 5.062, 21
17.71, 5.009, 20
35.42, 2.534, 18
19.33, 4.591, 18

Crystal structure
a = 6.9086 Å, b = 7.1307 Å, c = 7.9027 Å
α = 89.42°, β = 64.26°, γ = 87.42°
Space group P1 (No. 1)
Asymmetric unit:
Li 0.0000 0.0000 0.0000 [1 per cell]
Li 0.0852 0.2684 0.2875 [1 per cell]
Li 0.2350 0.5257 0.5891 [1 per cell]
Li 0.4773 0.4638 0.0747 [1 per cell]
Li 0.6778 0.0724 0.5163 [1 per cell]
Li 0.8520 0.7643 0.7975 [1 per cell]
Fe 0.0800 0.7694 0.2917 [1 per cell]
Fe 0.5780 0.7648 0.2955 [1 per cell]
P 0.1869 0.0579 0.5479 [1 per cell]
P 0.4657 0.0108 0.9944 [1 per cell]
P 0.7007 0.5246 0.5970 [1 per cell]
P 0.9621 0.4762 0.0422 [1 per cell]
O 0.0449 0.5720 0.8527 [1 per cell]
O 0.0661 0.9666 0.7375 [1 per cell]
O 0.0792 0.0081 0.4146 [1 per cell]
O 0.0856 0.5351 0.1608 [1 per cell]
O 0.1883 0.2717 0.5470 [1 per cell]
O 0.2594 0.8948 0.0459 [1 per cell]
O 0.3184 0.6653 0.3216 [1 per cell]
O 0.4048 0.2021 0.0924 [1 per cell]
O 0.4303 0.9880 0.4540 [1 per cell]
O 0.5323 0.6180 0.5357 [1 per cell]
O 0.5760 0.0190 0.7799 [1 per cell]
O 0.6007 0.5206 0.8109 [1 per cell]
O 0.6273 0.8928 0.0498 [1 per cell]
O 0.7158 0.5320 0.1555 [1 per cell]
O 0.7748 0.3317 0.5011 [1 per cell]
O 0.8373 0.8693 0.2667 [1 per cell]
O 0.8961 0.6562 0.5414 [1 per cell]
O 0.9846 0.2628 0.0434 [1 per cell]